# 1
Starting from a crystal structure in Alexandria, relaxed with PBE, the powder XRD pattern of Cs2InSI6 was calculated for Cu Kα.
No peak broadening, texture or thermal motion is included.

Crystal structure
```
data_Cs2InSI6
_chemical_formula_sum 'Cs4 In2 S2 I12'
_symmetry_space_group_name_H-M 'I 4/m m m'
_symmetry_Int_Tables_number 139
_symmetry_space_group_name_Hall '-I 4 2'
_cell_length_a 8.6017
_cell_length_b 8.6017
_cell_length_c 11.8394
_cell_angle_alpha 90.00
_cell_angle_beta 90.00
_cell_angle_gamma 90.00
loop_
_atom_site_label
_atom_site_type_symbol
_atom_site_fract_x
_atom_site_fract_y
_atom_site_fract_z
_atom_site_occupancy
Cs1 Cs 0.0000 0.5000 0.2500 1
In1 In 0.0000 0.0000 0.0000 1
S1 S 0.0000 0.0000 0.5000 1
I1 I 0.0000 0.0000 0.2728 1
I2 I 0.2403 0.2403 0.0000 1
```

The 10 most intense peaks (2θ = 10–90°), in order of rising 2θ:
2theta	I_rel	(hkl)
25.60	100.0	2 0 2
29.37	65.4	2 2 0
30.19	28.7	0 0 4
42.02	24.0	4 0 0
42.62	43.3	2 2 4
49.85	30.7	4 2 2
50.92	12.3	2 0 6
52.61	22.9	4 0 4
69.06	10.4	6 2 0
77.19	14.2	6 2 4

---

# 2
Starting from a crystal structure in Alexandria, relaxed with PBE, the powder XRD pattern of Nd2Al3Pd4 was calculated for Cu Kα.
No peak broadening, texture or thermal motion is included.

Crystal structure
```
data_Nd2Al3Pd4
_chemical_formula_sum 'Nd8 Al12 Pd16'
_symmetry_space_group_name_H-M 'C m c e'
_symmetry_Int_Tables_number 64
_symmetry_space_group_name_Hall '-C 2ac 2'
_cell_length_a 5.6986
_cell_length_b 15.7313
_cell_length_c 7.6476
_cell_angle_alpha 90.00
_cell_angle_beta 90.00
_cell_angle_gamma 90.00
loop_
_atom_site_label
_atom_site_type_symbol
_atom_site_fract_x
_atom_site_fract_y
_atom_site_fract_z
_atom_site_occupancy
Nd1 Nd 0.0000 0.1080 0.0860 1
Al1 Al 0.0000 0.0000 0.5000 1
Al2 Al 0.2500 0.2290 0.7500 1
Pd1 Pd 0.0000 0.1843 0.4812 1
Pd2 Pd 0.2500 0.0638 0.7500 1
```

The 10 most intense peaks (2θ = 10–90°), in order of rising 2θ:
2theta	I_rel	(hkl)
25.90	22.0	0 2 2
32.98	32.6	1 3 2
34.61	100.0	1 5 1
35.51	49.9	2 2 1
36.22	17.5	0 6 1
37.07	51.1	0 2 3
39.06	19.7	2 4 0
39.44	69.2	2 0 2
57.98	22.3	3 5 1
69.20	19.7	2 6 4

---

# 3
Starting from a crystal structure in Alexandria, relaxed with PBE, the powder XRD pattern of La7Au6 was calculated for Cu Kα.
No peak broadening, texture or thermal motion is included.

Crystal structure
```
data_La7Au6
_chemical_formula_sum 'La21 Au18'
_symmetry_space_group_name_H-M 'R -3 m'
_symmetry_Int_Tables_number 166
_symmetry_space_group_name_Hall '-R 3 2"'
_cell_length_a 6.9771
_cell_length_b 6.9771
_cell_length_c 26.9973
_cell_angle_alpha 90.00
_cell_angle_beta 90.00
_cell_angle_gamma 120.00
loop_
_atom_site_label
_atom_site_type_symbol
_atom_site_fract_x
_atom_site_fract_y
_atom_site_fract_z
_atom_site_occupancy
La1 La 0.0000 0.0000 0.0000 1
La2 La 0.0137 0.5068 0.4138 1
Au1 Au 0.0000 0.0000 0.1650 1
Au2 Au 0.0000 0.0000 0.3475 1
Au3 Au 0.0000 0.0000 0.4500 1
```

The 10 most intense peaks (2θ = 10–90°), in order of rising 2θ:
2theta	I_rel	(hkl)
25.53	78.5	1 1 0
29.76	46.3	0 2 1
32.47	100.0	1 1 6
34.00	36.0	2 0 5
36.45	34.4	1 0 10
39.63	35.6	0 1 11
49.59	25.2	0 3 6
52.47	65.7	2 2 0
54.91	26.4	1 2 11
68.02	25.6	2 2 12